# 1
Computed powder diffraction line list of DySn4 for CuKα, from a structure optimized by DFT (GGA-PBE).
Lines closer than 0.1° are merged.

Largest 12 diffraction maxima, sorted by position, 5 to 70 degrees two-theta:
2θ (°)	I (rel.)
31.35	100
34.09	24
34.37	78
39.27	29
40.84	34
50.06	12
52.97	14
57.95	25
65.41	11
66.27	12
66.69	44
68.06	11

Structural model:
```
DySn4
1.0
-2.2941 3.2208 9.1111
2.2941 -3.2208 9.1111
2.2941 3.2208 -9.1111
Dy Sn
2 8
Cartesian
0.0000 1.6104 1.6331
2.2941 1.6104 7.4780
2.2941 0.0000 0.0000
2.2941 -1.6104 7.3388
2.2941 -0.0349 3.4947
2.2941 3.1859 -3.4947
0.0000 0.0000 9.1111
0.0000 0.0349 12.6057
0.0000 3.2556 5.6164
0.0000 4.8311 1.7723
```

# 2
Computed powder diffraction line list of Rb2Na12Te7 for CuKα, from a structure optimized by DFT (GGA-PBE).
Lines closer than 0.1° are merged.

Largest 12 diffraction maxima, sorted by position, 5 to 70 degrees two-theta:
2θ (°)	I (rel.)
21.42	100
22.94	50
24.35	85
28.18	97
30.49	21
34.69	45
36.68	35
37.56	79
40.27	49
42.86	33
53.49	49
58.27	40

Structural model:
```
Rb2Na12Te7
1.0
12.6738 0.0000 0.0000
-6.3369 10.9758 0.0000
0.0000 0.0000 4.9007
Rb Na Te
2 12 7
Cartesian
0.0000 0.0000 0.0000
0.0000 7.3172 2.4504
-1.1257 3.1298 2.4504
-3.2417 7.7279 0.0000
-3.0636 10.3858 2.4504
1.2652 4.3045 0.0000
3.8309 1.9270 0.0000
4.1826 4.7224 2.4504
6.4928 1.2610 2.4504
1.9765 9.9193 0.0000
4.1893 8.4361 2.4504
6.0903 6.6947 0.0000
9.0896 2.3541 0.0000
8.3353 4.9924 2.4504
-1.8376 4.9293 0.0000
1.9285 2.3558 2.4504
-1.1492 10.1025 0.0000
2.9868 6.9198 0.0000
6.3369 3.6586 0.0000
9.6694 0.4922 2.4504
7.4128 8.1278 2.4504
```

# 3
Computed powder diffraction line list of Al4GaCu7 for CuKα, from a structure optimized by DFT (GGA-PBE).
Lines closer than 0.1° are merged.

Largest 12 diffraction maxima, sorted by position, 5 to 70 degrees two-theta:
2θ (°)	I (rel.)
13.76	18
16.81	10
21.99	10
39.06	22
39.37	20
39.71	28
42.14	69
43.28	100
44.01	40
45.42	44
45.82	36
46.35	41

Structural model:
```
Al4GaCu7
1.0
4.6492 0.0000 0.0000
-0.0287 5.2766 0.0000
-1.5103 -0.1203 6.4336
Al Ga Cu
4 1 7
Cartesian
0.7043 1.1765 1.0472
0.0286 2.4972 5.2651
3.0816 2.6591 1.1686
2.4059 3.9798 5.3864
1.5695 -0.0601 3.2168
-0.7664 3.9031 3.2220
0.7790 3.8445 1.0448
0.0330 5.1595 5.3744
1.5551 2.5782 3.2168
3.0772 -0.0032 1.0592
2.3312 1.3119 5.3888
3.8766 1.2533 3.2116
```

# 4
Computed powder diffraction line list of Sm2Ho5Tm2 for CuKα, from a structure optimized by DFT (GGA-PBE).
Lines closer than 0.1° are merged.

Largest 12 diffraction maxima, sorted by position, 5 to 70 degrees two-theta:
2θ (°)	I (rel.)
29.77	33
31.77	100
31.84	44
33.02	95
42.19	11
45.95	10
48.81	21
51.56	13
58.18	18
59.42	21
61.87	28
62.60	13

Structural model:
```
Sm2Ho5Tm2
1.0
8.6555 0.0000 0.0000
0.0000 3.5451 0.0000
-2.1505 0.0000 9.2810
Sm Ho Tm
2 5 2
Cartesian
-0.1459 0.0000 1.7108
6.6508 0.0000 7.5702
-1.0753 1.7726 4.6405
2.6476 1.7726 0.2986
1.5448 0.0000 6.6182
4.9602 0.0000 2.6628
3.8574 1.7726 8.9824
2.0879 1.7726 3.6064
4.4170 1.7726 5.6746
```

# 5
Computed powder diffraction line list of LiAc2PaPt6 for CuKα, from a structure optimized by DFT (GGA-PBE).
Lines closer than 0.1° are merged.

Largest 12 diffraction maxima, sorted by position, 5 to 70 degrees two-theta:
2θ (°)	I (rel.)
26.48	28
26.96	99
27.28	25
29.03	31
37.24	100
37.79	72
38.22	67
41.17	33
41.96	25
44.20	26
53.34	48
67.88	25

Structural model:
```
LiAc2PaPt6
1.0
6.1770 -2.8007 0.0000
6.1770 2.8007 0.0000
-5.5643 0.0000 6.7322
Li Ac Pa Pt
1 2 1 6
Cartesian
0.0000 0.0000 0.0000
-1.2209 0.0000 5.5496
8.0106 0.0000 1.1826
3.3949 0.0000 3.3661
4.8133 1.4420 1.6186
0.8112 0.0000 2.6794
1.9764 1.4420 5.1136
4.8133 -1.4420 1.6186
5.9785 0.0000 4.0528
1.9764 -1.4420 5.1136
```